[1]
This entry pairs a crystal structure of SmSn6Rh6 with its calculated X-ray diffraction stick pattern. Radiation: Cu Kα (λ = 1.5418 Å). Structure: a DFT-relaxed cell (PBE, Alexandria).

Structure:
```
SmSn6Rh6
1.0
5.6684 0.0000 0.0000
-2.8342 4.9090 0.0000
0.0000 0.0000 8.8148
Sm Sn Rh
1 6 6
direct
0.0000 0.0000 0.0000
0.0000 0.0000 0.3382
0.0000 0.0000 0.6618
0.3333 0.6667 0.0000
0.3333 0.6667 0.5000
0.6667 0.3333 0.0000
0.6667 0.3333 0.5000
0.0000 0.5000 0.2498
0.0000 0.5000 0.7502
0.5000 0.0000 0.2498
0.5000 0.0000 0.7502
0.5000 0.5000 0.2498
0.5000 0.5000 0.7502
```

Main lines, in order of falling intensity (10° ≤ 2θ ≤ 90°):
d [Å], I_rel
2.384, 100
2.144, 94
2.834, 65
2.454, 61
1.417, 41
1.304, 33
2.521, 33
2.204, 31
1.534, 26
1.192, 26

[2]
This entry pairs a crystal structure of Sm4SnRh2 with its calculated X-ray diffraction stick pattern. Radiation: Cu Kα (λ = 1.5418 Å). Structure: a DFT-relaxed cell (PBE, Alexandria).

Structure:
```
Sm4SnRh2
1.0
2.3734 1.3703 9.8687
-2.3734 1.3703 9.8687
0.0000 -2.7406 9.8687
Sm Sn Rh
4 1 2
direct
0.1143 0.1143 0.1143
0.2975 0.2975 0.2975
0.7025 0.7025 0.7025
0.8857 0.8857 0.8857
0.5000 0.5000 0.5000
0.4014 0.4014 0.4014
0.5986 0.5986 0.5986
```

Main lines, in order of falling intensity (10° ≤ 2θ ≤ 90°):
d [Å], I_rel
2.373, 100
2.402, 79
3.377, 68
1.376, 27
1.688, 27
2.948, 20
3.594, 18
1.370, 18
1.942, 15
1.503, 13

[3]
This entry pairs a crystal structure of Sm3Sn3Rh with its calculated X-ray diffraction stick pattern. Radiation: Cu Kα (λ = 1.5418 Å). Structure: a DFT-relaxed cell (PBE, Alexandria).

Structure:
```
Sm3Sn3Rh
1.0
5.6634 -2.2806 0.0000
5.6634 2.2806 0.0000
-4.9903 0.0000 14.3149
Sm Sn Rh
6 6 2
direct
0.0224 0.0224 0.3811
0.0988 0.0988 0.9214
0.2394 0.2394 0.2404
0.7606 0.7606 0.7596
0.9012 0.9012 0.0786
0.9776 0.9776 0.6189
0.3525 0.3525 0.4645
0.3749 0.3749 0.9236
0.4738 0.4738 0.7646
0.5262 0.5262 0.2354
0.6251 0.6251 0.0764
0.6475 0.6475 0.5355
0.2543 0.2543 0.6146
0.7457 0.7457 0.3854
```

Main lines, in order of falling intensity (10° ≤ 2θ ≤ 90°):
d [Å], I_rel
2.915, 100
2.411, 90
2.967, 84
2.281, 71
2.829, 56
2.385, 53
2.902, 47
2.555, 45
1.525, 36
1.648, 35

[4]
This entry pairs a crystal structure of Sm3SnRh4 with its calculated X-ray diffraction stick pattern. Radiation: Cu Kα (λ = 1.5418 Å). Structure: a DFT-relaxed cell (PBE, Alexandria).

Structure:
```
Sm3SnRh4
1.0
6.0051 0.0000 0.0000
0.0000 9.6903 0.0000
0.0000 0.0000 5.9188
Sm Sn Rh
6 2 8
direct
0.0000 0.0000 0.0000
0.0000 0.3025 0.7484
0.0000 0.6975 0.7484
0.5000 0.1975 0.2484
0.5000 0.5000 0.5000
0.5000 0.8025 0.2484
0.0000 0.5000 0.3153
0.5000 0.0000 0.8153
0.0000 0.2233 0.2628
0.0000 0.7767 0.2628
0.2199 0.0000 0.4863
0.2801 0.5000 0.9863
0.5000 0.2767 0.7628
0.5000 0.7233 0.7628
0.7199 0.5000 0.9863
0.7801 0.0000 0.4863
```

Main lines, in order of falling intensity (10° ≤ 2θ ≤ 90°):
d [Å], I_rel
2.526, 100
2.061, 84
2.581, 64
3.003, 54
2.835, 53
2.560, 48
2.108, 47
2.423, 45
2.552, 26
1.570, 23